Record 1
The following is a theoretical XRD peak list of ReC3O4F. It was derived from the GGA-PBE geometry in the Materials Project, using Cu Kα (λ = 1.5418 Å).
Neutral-atom scattering factors, no anomalous dispersion.

abc: 9.639 9.639 9.639
angles: 103.36 103.36 122.54
Fractional positions:
Re 0.470 0.156 0.390
Re 0.766 0.080 0.610
Re 0.844 0.234 0.313
Re 0.920 0.530 0.687
C 0.053 0.421 0.303
C 0.062 0.614 0.902
C 0.118 0.750 0.697
C 0.250 0.947 0.368
C 0.339 0.095 0.178
C 0.386 0.288 0.448
C 0.579 0.882 0.632
C 0.712 0.160 0.098
C 0.839 0.661 0.756
C 0.840 0.938 0.552
C 0.905 0.083 0.244
C 0.917 0.161 0.822
O 0.012 0.214 0.953
O 0.115 0.816 0.352
O 0.152 0.665 0.035
O 0.184 0.536 0.299
O 0.237 0.885 0.701
O 0.260 0.058 0.047
O 0.335 0.370 0.486
O 0.396 0.475 0.909
O 0.464 0.763 0.648
O 0.513 0.604 0.079
O 0.525 0.434 0.921
O 0.566 0.487 0.091
O 0.630 0.116 0.965
O 0.786 0.740 0.798
O 0.884 0.848 0.514
O 0.942 0.988 0.202
F 0.618 0.043 0.368
F 0.675 0.251 0.632
F 0.749 0.382 0.424
F 0.957 0.325 0.576

Main lines, in order of falling intensity (15° ≤ 2θ ≤ 90°):
two_theta	I/Imax
19.17	100
24.31	81
28.59	60
33.53	59
29.88	43
52.26	42
38.89	38
30.52	38
32.36	34
48.14	28

Record 2
The following is a theoretical XRD peak list of Er2Co3Si5. It was derived from the GGA-PBE geometry in the Materials Project, using Cu Kα (λ = 1.5418 Å).
Neutral-atom scattering factors, no anomalous dispersion.

abc: 7.819 7.819 7.819
angles: 104.81 89.67 138.61
Fractional positions:
Er 0.134 0.236 0.369
Er 0.366 0.736 0.102
Er 0.634 0.264 0.898
Er 0.866 0.764 0.631
Co 0.136 0.888 0.024
Co 0.250 0.750 0.500
Co 0.364 0.388 0.752
Co 0.636 0.612 0.248
Co 0.750 0.250 0.500
Co 0.864 0.112 0.976
Si 0.019 0.750 0.269
Si 0.102 0.657 0.759
Si 0.250 0.250 0.000
Si 0.398 0.157 0.554
Si 0.481 0.750 0.731
Si 0.519 0.250 0.269
Si 0.602 0.843 0.446
Si 0.750 0.750 0.000
Si 0.898 0.343 0.241
Si 0.981 0.250 0.731

Main lines, in order of falling intensity (15° ≤ 2θ ≤ 90°):
two_theta	I/Imax
36.40	100
37.63	65
24.58	60
46.40	54
37.52	53
53.42	27
32.40	24
32.29	22
60.43	22
18.60	21